# 1
For PtSCl2, a crystal structure in Alexandria, relaxed with PBE gives the computed powder X-ray diffraction pattern in this record (λ = 1.5418 Å (Cu Kα)).

Principal peaks in the range 5° ≤ 2θ ≤ 70°, by angle:
d_spacing  I (rel.)
5.041  1000
4.073  515
3.564  190
3.168  135
2.682  176
2.520  295
2.254  247
2.143  185
2.125  208
1.837  173
1.825  260
1.478  131

Crystal structure
```
PtSCl2
1.0
-5.0405 5.0405 2.2262
5.0405 -5.0405 2.2262
5.0405 5.0405 -2.2262
Pt S Cl
2 2 4
direct
0.3750 0.6250 0.7500
0.6250 0.3750 0.2500
0.1250 0.8750 0.2500
0.8750 0.1250 0.7500
0.0000 0.5000 0.5000
0.5000 0.0000 0.0000
0.5000 0.5000 0.0000
0.5000 0.5000 0.5000
```

=====

# 2
For NaNiSn2, a crystal structure in Alexandria, relaxed with PBE gives the computed powder X-ray diffraction pattern in this record (λ = 1.5418 Å (Cu Kα)).

Principal peaks in the range 5° ≤ 2θ ≤ 70°, by angle:
d_spacing  I (rel.)
5.119  1000
4.066  216
3.453  812
2.560  249
2.386  355
2.247  279
2.210  242
2.204  448
2.033  166
1.938  306
1.706  145
1.573  206

Crystal structure
```
NaNiSn2
1.0
-2.6967 2.6967 8.1328
2.6967 -2.6967 8.1328
2.6967 2.6967 -8.1328
Na Ni Sn
2 2 4
direct
0.0000 0.0000 0.0000
0.7500 0.2500 0.5000
0.2500 0.7500 0.5000
0.5000 0.5000 0.0000
0.2663 0.6250 0.1413
0.3750 0.5163 0.6413
0.4837 0.1250 0.8587
0.8750 0.7337 0.3587
```

=====

# 3
For K3SiH8, a crystal structure in Alexandria, relaxed with PBE gives the computed powder X-ray diffraction pattern in this record (λ = 1.5418 Å (Cu Kα)).

Principal peaks in the range 5° ≤ 2θ ≤ 70°, by angle:
d_spacing  I (rel.)
4.625  30
3.295  280
3.247  230
2.913  1000
2.475  38
2.313  166
1.875  170
1.819  180
1.637  27
1.629  179
1.576  130
1.456  29

Crystal structure
```
K3SiH8
1.0
7.4983 0.0000 0.0000
-3.7491 6.4937 0.0000
0.0000 0.0000 6.5899
K Si H
6 2 16
direct
0.1636 0.3272 0.0000
0.1636 0.8364 0.0000
0.3272 0.1636 0.5000
0.6728 0.8364 0.0000
0.8364 0.1636 0.5000
0.8364 0.6728 0.5000
0.3333 0.6667 0.4348
0.6667 0.3333 0.9348
0.0000 0.0000 0.2520
0.0000 0.0000 0.7520
0.1274 0.5637 0.2951
0.2318 0.4636 0.5771
0.2318 0.7682 0.5771
0.3333 0.6667 0.7740
0.4363 0.5637 0.2951
0.4363 0.8726 0.2951
0.4636 0.2318 0.0771
0.5364 0.7682 0.5771
0.5637 0.1274 0.7951
0.5637 0.4363 0.7951
0.6667 0.3333 0.2740
0.7682 0.2318 0.0771
0.7682 0.5364 0.0771
0.8726 0.4363 0.7951
```

=====

# 4
For Rb2TiTlCl6, a crystal structure in Alexandria, relaxed with PBE gives the computed powder X-ray diffraction pattern in this record (λ = 1.5418 Å (Cu Kα)).

Principal peaks in the range 5° ≤ 2θ ≤ 70°, by angle:
d_spacing  I (rel.)
6.080  350
5.532  263
4.224  247
3.886  1000
3.659  415
2.766  468
2.730  347
2.681  262
2.503  286
2.468  337
1.943  281
1.477  246

Crystal structure
```
Rb2TiTlCl6
1.0
7.3191 0.0000 0.0000
0.0000 10.9229 0.0000
0.0000 0.0000 8.4475
Rb Ti Tl Cl
4 2 2 12
direct
0.2500 0.0344 0.1874
0.2500 0.4656 0.1874
0.7500 0.5344 0.8126
0.7500 0.9656 0.8126
0.2500 0.7500 0.7968
0.7500 0.2500 0.2032
0.2500 0.2500 0.6961
0.7500 0.7500 0.3039
0.0099 0.7500 0.5994
0.0197 0.7500 0.0090
0.2500 0.5259 0.7977
0.2500 0.9741 0.7977
0.4803 0.7500 0.0090
0.4901 0.7500 0.5994
0.5099 0.2500 0.4006
0.5197 0.2500 0.9910
0.7500 0.0259 0.2023
0.7500 0.4741 0.2023
0.9803 0.2500 0.9910
0.9901 0.2500 0.4006
```

=====

# 5
For GaCuO3, a crystal structure in Alexandria, relaxed with PBE gives the computed powder X-ray diffraction pattern in this record (λ = 1.5418 Å (Cu Kα)).

Principal peaks in the range 5° ≤ 2θ ≤ 70°, by angle:
d_spacing  I (rel.)
3.743  9
2.759  1000
2.547  589
2.358  22
2.241  93
1.872  379
1.730  17
1.641  201
1.508  319
1.471  227
1.380  129

Crystal structure
```
GaCuO3
1.0
2.5470 1.4705 4.7153
-2.5470 1.4705 4.7153
0.0000 -2.9411 4.7153
Ga Cu O
2 2 6
direct
0.0000 0.0000 0.0000
0.5000 0.5000 0.5000
0.2500 0.2500 0.2500
0.7500 0.7500 0.7500
0.1109 0.7500 0.3891
0.2500 0.6109 0.8891
0.3891 0.1109 0.7500
0.6109 0.8891 0.2500
0.7500 0.3891 0.1109
0.8891 0.2500 0.6109
```

=====

# 6
For Mg2Ag2Sb, a crystal structure in Alexandria, relaxed with PBE gives the computed powder X-ray diffraction pattern in this record (λ = 1.5418 Å (Cu Kα)).

Principal peaks in the range 5° ≤ 2θ ≤ 70°, by angle:
d_spacing  I (rel.)
7.370  194
3.769  131
3.685  451
3.054  240
2.582  1000
2.351  175
2.207  106
1.949  261
1.843  94
1.834  258
1.723  200
1.501  82

Crystal structure
```
Mg2Ag2Sb
1.0
-1.9491 1.9491 7.3702
1.9491 -1.9491 7.3702
1.9491 1.9491 -7.3702
Mg Ag Sb
2 2 1
direct
0.1035 0.1035 0.0000
0.8965 0.8965 0.0000
0.2500 0.7500 0.5000
0.7500 0.2500 0.5000
0.5000 0.5000 0.0000
```

=====

# 7
For SmIClO4, a crystal structure in Alexandria, relaxed with PBE gives the computed powder X-ray diffraction pattern in this record (λ = 1.5418 Å (Cu Kα)).

Principal peaks in the range 5° ≤ 2θ ≤ 70°, by angle:
d_spacing  I (rel.)
6.753  255
5.131  381
3.780  619
3.671  1000
3.076  691
3.004  652
2.634  294
2.487  264
2.271  215
2.039  255
1.984  253
1.964  261

Crystal structure
```
SmIClO4
1.0
5.2111 -3.6714 0.0000
5.2111 3.6714 0.0000
-1.1977 0.0000 6.7526
Sm I Cl O
2 2 2 8
direct
0.2151 0.2151 0.1165
0.7849 0.7849 0.8835
0.3708 0.3708 0.6957
0.6292 0.6292 0.3043
0.0255 0.0255 0.7689
0.9745 0.9745 0.2311
0.1327 0.4895 0.8511
0.2352 0.2352 0.4693
0.4474 0.4474 0.2146
0.4895 0.1327 0.8511
0.5105 0.8673 0.1489
0.5526 0.5526 0.7854
0.7648 0.7648 0.5307
0.8673 0.5105 0.1489
```

=====

Please write out number 1 again, unchanged.
For PtSCl2, a crystal structure in Alexandria, relaxed with PBE gives the computed powder X-ray diffraction pattern in this record (λ = 1.5418 Å (Cu Kα)).

Principal peaks in the range 5° ≤ 2θ ≤ 70°, by angle:
d_spacing  I (rel.)
5.041  1000
4.073  515
3.564  190
3.168  135
2.682  176
2.520  295
2.254  247
2.143  185
2.125  208
1.837  173
1.825  260
1.478  131

Crystal structure
```
PtSCl2
1.0
-5.0405 5.0405 2.2262
5.0405 -5.0405 2.2262
5.0405 5.0405 -2.2262
Pt S Cl
2 2 4
direct
0.3750 0.6250 0.7500
0.6250 0.3750 0.2500
0.1250 0.8750 0.2500
0.8750 0.1250 0.7500
0.0000 0.5000 0.5000
0.5000 0.0000 0.0000
0.5000 0.5000 0.0000
0.5000 0.5000 0.5000
```